Structure and calculated powder XRD pattern of MgCo2P2O8 (a crystal structure in the Materials Project, relaxed with GGA+U; λ = 1.5418 Å (Cu Kα)).
Neutral-atom scattering factors, no anomalous dispersion.

Largest 10 diffraction maxima, in order of falling intensity, 10° ≤ 2θ ≤ 90°:
Position (°2θ)	d/Å	I_rel
28.46	3.137	100
12.48	7.095	67
32.02	2.795	63
18.50	4.796	39
35.31	2.542	37
33.28	2.692	37
32.41	2.762	32
37.20	2.417	31
59.28	1.559	26
28.66	3.115	21

Atomic structure:
Lattice parameters (Å, degrees): 8.798 8.798 16.477 119.11 119.11 33.58
Fractional positions:
Mg  0.181  0.267  0.124
Mg  0.267  0.181  0.624
Mg  0.733  0.819  0.376
Mg  0.819  0.733  0.876
Co  0.000  0.000  0.000
Co  0.000  0.000  0.500
Co  0.307  0.693  0.250
Co  0.329  0.431  0.035
Co  0.431  0.329  0.535
Co  0.569  0.671  0.465
Co  0.671  0.569  0.965
Co  0.693  0.307  0.750
P  0.112  0.212  0.390
P  0.212  0.112  0.890
P  0.367  0.427  0.357
P  0.427  0.367  0.857
P  0.573  0.633  0.143
P  0.633  0.573  0.643
P  0.788  0.888  0.110
P  0.888  0.788  0.610
O  0.060  0.128  0.790
O  0.093  0.688  0.399
O  0.100  0.159  0.961
O  0.128  0.060  0.290
O  0.159  0.100  0.461
O  0.162  0.345  0.918
O  0.176  0.468  0.601
O  0.228  0.600  0.933
O  0.285  0.338  0.763
O  0.312  0.907  0.101
O  0.338  0.285  0.263
O  0.345  0.162  0.418
O  0.400  0.772  0.567
O  0.465  0.514  0.353
O  0.468  0.176  0.101
O  0.486  0.535  0.147
O  0.514  0.465  0.853
O  0.532  0.824  0.899
O  0.535  0.486  0.647
O  0.600  0.228  0.433
O  0.655  0.838  0.582
O  0.662  0.715  0.737
O  0.688  0.093  0.899
O  0.715  0.662  0.237
O  0.772  0.400  0.067
O  0.824  0.532  0.399
O  0.838  0.655  0.082
O  0.841  0.900  0.539
O  0.872  0.940  0.710
O  0.900  0.841  0.039
O  0.907  0.312  0.601
O  0.940  0.872  0.210